(1)
YCd2Ru: simulated powder diffractogram (λ = 1.5418 Å (Cu Kα)), based on a cell relaxed with GGA-PBE.

Crystal structure
```
YCd2Ru
1.0
3.580 0.000 0.000
0.000 4.148 0.000
-1.779 0.000 5.879
Y Cd Ru
1 2 1
direct
0.000 0.000 0.000
0.272 0.000 0.545
0.671 0.500 0.344
0.427 0.500 0.854
```

Most intense lines, 10° ≤ 2θ ≤ 80°, sorted by position:
- 30.41°, I = 111
- 33.94°, I = 1000
- 37.50°, I = 500
- 40.46°, I = 287
- 43.64°, I = 209
- 46.19°, I = 126
- 51.02°, I = 130
- 56.39°, I = 115
- 64.96°, I = 95
- 69.34°, I = 100

***

(2)
Zr2CdRu: simulated powder diffractogram (λ = 1.5418 Å (Cu Kα)), based on a cell relaxed with GGA-PBE.

Crystal structure
```
Zr2CdRu
1.0
3.245 0.000 0.000
0.000 3.275 0.000
0.000 0.000 7.472
Zr Cd Ru
2 1 1
direct
0.000 0.000 0.219
0.000 0.000 0.781
0.500 0.500 0.500
0.500 0.500 0.000
```

Most intense lines, 10° ≤ 2θ ≤ 80°, sorted by position:
- 36.48°, I = 1000
- 36.68°, I = 985
- 39.08°, I = 883
- 48.75°, I = 173
- 56.17°, I = 148
- 56.74°, I = 157
- 64.17°, I = 294
- 68.98°, I = 292
- 69.36°, I = 287
- 77.52°, I = 84

***

(3)
CdS: simulated powder diffractogram (λ = 1.5418 Å (Cu Kα)), based on a cell relaxed with GGA-PBE.

Crystal structure
```
CdS
1.0
4.193 0.000 0.000
-2.096 3.631 0.000
0.000 0.000 13.679
Cd S
4 4
direct
0.000 0.000 0.000
0.000 0.000 0.500
0.333 0.667 0.250
0.667 0.333 0.750
0.000 0.000 0.312
0.000 0.000 0.812
0.333 0.667 0.062
0.667 0.333 0.562
```

Most intense lines, 10° ≤ 2θ ≤ 80°, sorted by position:
- 24.52°, I = 195
- 25.38°, I = 835
- 26.06°, I = 575
- 27.82°, I = 1000
- 31.50°, I = 198
- 41.32°, I = 271
- 43.15°, I = 650
- 47.07°, I = 503
- 51.11°, I = 512
- 65.75°, I = 176

***

(4)
CdS: simulated powder diffractogram (λ = 1.5418 Å (Cu Kα)), based on a cell relaxed with GGA-PBE.

Crystal structure
```
CdS
1.0
4.192 0.000 0.000
-2.096 3.631 0.000
0.000 0.000 20.523
Cd S
6 6
direct
0.000 0.000 0.000
0.000 0.000 0.500
0.333 0.667 0.167
0.333 0.667 0.833
0.667 0.333 0.333
0.667 0.333 0.667
0.000 0.000 0.375
0.000 0.000 0.875
0.333 0.667 0.042
0.333 0.667 0.708
0.667 0.333 0.208
0.667 0.333 0.542
```

Most intense lines, 10° ≤ 2θ ≤ 80°, sorted by position:
- 24.90°, I = 312
- 26.04°, I = 1000
- 27.82°, I = 413
- 30.15°, I = 188
- 43.16°, I = 678
- 47.06°, I = 208
- 51.11°, I = 534
- 69.07°, I = 138
- 71.14°, I = 93
- 79.15°, I = 178

***

(5)
Cd5S: simulated powder diffractogram (λ = 1.5418 Å (Cu Kα)), based on a cell relaxed with GGA-PBE.

Crystal structure
```
Cd5S
1.0
2.246 -6.524 0.000
2.246 6.524 0.000
0.000 0.000 4.564
Cd S
5 1
direct
0.000 0.000 0.000
0.166 0.834 0.500
0.335 0.665 0.000
0.665 0.335 0.000
0.834 0.166 0.500
0.500 0.500 0.500
```

Most intense lines, 10° ≤ 2θ ≤ 80°, sorted by position:
- 34.80°, I = 1000
- 39.49°, I = 175
- 40.15°, I = 167
- 41.53°, I = 151
- 57.58°, I = 110
- 58.64°, I = 104
- 68.62°, I = 127
- 69.52°, I = 122
- 71.43°, I = 113
- 73.46°, I = 104

***

(6)
CdSb2S4: simulated powder diffractogram (λ = 1.5418 Å (Cu Kα)), based on a cell relaxed with GGA-PBE.

Crystal structure
```
CdSb2S4
1.0
3.775 -7.799 0.000
3.775 7.799 0.000
0.000 0.000 8.236
Cd Sb S
2 4 8
direct
0.000 0.000 0.250
0.000 0.000 0.750
0.242 0.747 0.000
0.253 0.758 0.500
0.747 0.242 0.500
0.758 0.253 0.000
0.000 0.500 0.214
0.000 0.500 0.786
0.006 0.814 0.500
0.186 0.994 0.000
0.500 0.000 0.286
0.500 0.000 0.714
0.814 0.006 0.000
0.994 0.186 0.500
```

Most intense lines, 10° ≤ 2θ ≤ 80°, sorted by position:
- 11.35°, I = 653
- 13.03°, I = 902
- 22.80°, I = 603
- 23.57°, I = 397
- 24.44°, I = 525
- 30.11°, I = 168
- 33.03°, I = 240
- 34.21°, I = 1000
- 41.06°, I = 229
- 47.89°, I = 501